Record 1
This entry pairs a crystal structure of ZnTeAs2H with its calculated powder diffraction line list. Radiation: Cu Kα. Structure: a GGA-PBE-relaxed structure.

Principal peaks in the range 15 to 90 degrees two-theta, sorted by position:
2θ (°), I (rel.)
18.2, 100.0
30.8, 63.9
33.1, 37.5
37.0, 55.3
38.0, 31.1
41.5, 24.3
50.4, 44.6
54.1, 22.1

Unit cell a=4.8629 b=4.8629 c=5.4147 alpha=90.00 beta=90.00 gamma=90.00
Positions (direct):
Zn (0.0000, 0.0000, 0.0000)
Te (0.0000, 0.0000, 0.5000)
As (0.0000, 0.5000, 0.0000)
As (0.5000, 0.0000, 0.0000)
H (0.5000, 0.5000, 0.5000)

***

Record 2
This entry pairs a crystal structure of Ce7Pu2Rh2 with its calculated powder diffraction line list. Radiation: Cu Kα. Structure: a GGA-PBE-relaxed structure.

Principal peaks in the range 15 to 90 degrees two-theta, sorted by position:
2θ (°), I (rel.)
19.1, 92.3
19.5, 41.6
30.2, 50.8
33.1, 67.6
35.5, 100.0
43.4, 35.7
48.9, 40.7
49.8, 49.6

Unit cell a=6.3854 b=6.3854 c=8.7365 alpha=92.29 beta=92.29 gamma=118.77
Positions (direct):
Ce (0.0000, 0.0000, 0.0000)
Ce (0.0365, 0.3948, 0.6842)
Ce (0.3405, 0.3405, 0.3582)
Ce (0.3948, 0.0365, 0.6842)
Ce (0.6052, 0.9635, 0.3158)
Ce (0.6595, 0.6595, 0.6418)
Ce (0.9635, 0.6052, 0.3158)
Pu (0.3108, 0.6892, 0.5000)
Pu (0.6892, 0.3108, 0.5000)
Rh (0.3287, 0.3287, 0.9143)
Rh (0.6713, 0.6713, 0.0857)

***

Record 3
This entry pairs a crystal structure of Ce2DyHoSe5 with its calculated powder diffraction line list. Radiation: Cu Kα. Structure: a GGA-PBE-relaxed structure.

Principal peaks in the range 15 to 90 degrees two-theta, sorted by position:
2θ (°), I (rel.)
24.0, 41.4
24.6, 100.0
30.4, 27.4
33.3, 30.7
35.0, 86.1
35.2, 34.8
49.1, 40.9
50.3, 30.5

Unit cell a=5.1280 b=5.1280 c=10.7547 alpha=90.00 beta=90.00 gamma=90.00
Positions (direct):
Ce (0.0000, 0.0000, 0.1976)
Ce (0.0000, 0.0000, 0.8024)
Dy (0.5000, 0.5000, 0.5000)
Ho (0.5000, 0.5000, 0.0000)
Se (0.0000, 0.0000, 0.5000)
Se (0.0000, 0.5000, 0.0000)
Se (0.5000, 0.0000, 0.0000)
Se (0.5000, 0.5000, 0.2552)
Se (0.5000, 0.5000, 0.7448)

***

Record 4
This entry pairs a crystal structure of Ba2SrCdO4 with its calculated powder diffraction line list. Radiation: Cu Kα. Structure: a GGA-PBE-relaxed structure.

Principal peaks in the range 15 to 90 degrees two-theta, sorted by position:
2θ (°), I (rel.)
29.1, 100.0
29.3, 33.1
33.4, 41.7
33.9, 79.6
48.3, 28.2
48.5, 41.5
57.1, 15.7
57.7, 20.3

Unit cell a=6.5138 b=3.7508 c=6.5425 alpha=90.00 beta=110.48 gamma=90.00
Positions (direct):
Ba (0.0000, 0.0000, 0.0000)
Ba (0.0000, 0.5000, 0.5000)
Sr (0.5000, 0.0000, 0.5000)
Cd (0.5000, 0.5000, 0.0000)
O (0.2625, 0.5000, 0.2620)
O (0.2761, 0.0000, 0.7647)
O (0.7239, 0.0000, 0.2353)
O (0.7375, 0.5000, 0.7380)